Diffraction record for Cr3Cd3CuO8. The powder diffraction line list is computed, not measured: it uses a DFT-relaxed cell (PBE+U, Alexandria) and CuKα.

The 6 most intense peaks (15 to 90 degrees two-theta), most intense first:
(2 2 -2), 40.14°, I = 100
(2 2 0), 35.36°, I = 60
(4 0 0), 41.02°, I = 47
(2 0 -1), 17.49°, I = 40
(0 0 2), 33.08°, I = 39
(2 2 2), 57.15°, I = 29

Atomic structure:
```
data_Cr3Cd3CuO8
_space_group_name_H-M_alt 'C 1 2/m 1'
_space_group_IT_number 12
_cell_length_a 10.592
_cell_length_b 6.216
_cell_length_c 6.517
_cell_angle_alpha 90.00
_cell_angle_beta 123.80
_cell_angle_gamma 90.00
loop_
_space_group_symop_operation_xyz
'x,y,z'
'-x,-y,-z'
'-x,y,-z'
'x,-y,z'
'x+1/2,y+1/2,z'
'-x+1/2,-y+1/2,-z'
'-x+1/2,y+1/2,-z'
'x+1/2,-y+1/2,z'
loop_
_atom_site_label
_atom_site_type_symbol
_atom_site_fract_x
_atom_site_fract_y
_atom_site_fract_z
Cr1 Cr 0.000 0.000 0.000
Cr2 Cr 0.250 0.250 0.000
Cd1 Cd 0.000 0.500 0.500
Cd2 Cd 0.250 0.250 0.500
Cu1 Cu 0.000 0.500 0.000
O1 O 0.015 0.237 0.789
O2 O 0.230 0.500 0.194
O3 O 0.234 0.000 0.195
```